Structure and computed powder XRD pattern of LiTePb2S4 (a cell relaxed with PBE; Cu Kα (λ = 1.5418 Å)).
Kinematic intensities with the Lorentz-polarization factor, no thermal factor.

Crystal structure
```
16
Lattice="5.6102 -5.6078 0.0000 5.6102 5.6078 0.0000 -5.3698 0.0000 6.1969" Properties=species:S:1:pos:R:3 pbc="T T T"
Li 0.0000 0.0000 0.0000
Li -2.6849 0.0000 3.0985
Te 2.8051 2.8039 0.0000
Te 0.1202 -2.8039 3.0985
Pb 0.1202 2.8039 3.0985
Pb 2.8051 -2.8039 0.0000
Pb 5.6102 0.0000 0.0000
Pb 2.9253 0.0000 3.0985
S 0.0782 2.9502 6.0422
S 2.6530 0.1229 0.0893
S -0.0319 -0.1229 3.1878
S 3.0875 2.9502 3.2532
S 2.7631 -2.9502 2.9437
S 5.8825 0.1229 3.0091
S 3.1976 -0.1229 6.1076
S 5.7724 -2.9502 0.1547
```

Peak list (12 most intense, 10 to 90 degrees two-theta, low angle first)
| 2θ (°) | d [Å] | I/Imax |
| --- | --- | --- |
| 13.09 | 6.764 | 64 |
| 26.05 | 3.421 | 17 |
| 26.36 | 3.381 | 77 |
| 27.03 | 3.299 | 56 |
| 28.81 | 3.098 | 66 |
| 31.92 | 2.803 | 100 |
| 42.65 | 2.120 | 22 |
| 43.53 | 2.079 | 42 |
| 44.40 | 2.040 | 24 |
| 45.77 | 1.982 | 37 |
| 54.24 | 1.691 | 21 |
| 55.72 | 1.650 | 21 |



Structure and computed powder XRD pattern of LiTm2PbS (a cell relaxed with PBE; Cu Kα (λ = 1.5418 Å)).
Kinematic intensities with the Lorentz-polarization factor, no thermal factor.

Crystal structure
```
10
Lattice="7.5204 0.0000 0.0000 0.0000 3.9365 0.0000 -2.6011 0.0000 7.6090" Properties=species:S:1:pos:R:3 pbc="T T T"
Li 0.0372 0.9841 1.0637
Li 4.8822 2.9524 6.5453
Tm 0.5757 2.9524 3.9477
Tm 2.6148 2.9524 0.8742
Tm 2.3046 0.9841 6.7348
Tm 4.3436 0.9841 3.6612
Pb -0.7673 0.9841 6.0436
Pb 5.6867 2.9524 1.5653
S 1.8099 0.9841 2.5213
S 3.1094 2.9524 5.0877
```

Peak list (12 most intense, 10 to 90 degrees two-theta, low angle first)
| 2θ (°) | d [Å] | I/Imax |
| --- | --- | --- |
| 14.02 | 6.315 | 36 |
| 25.03 | 3.558 | 33 |
| 25.48 | 3.496 | 58 |
| 28.26 | 3.158 | 28 |
| 31.00 | 2.885 | 58 |
| 32.21 | 2.779 | 100 |
| 32.74 | 2.736 | 55 |
| 33.96 | 2.640 | 45 |
| 35.39 | 2.536 | 28 |
| 42.77 | 2.114 | 48 |
| 46.12 | 1.968 | 32 |
| 56.36 | 1.632 | 22 |



Structure and computed powder XRD pattern of LiUPbS4 (a cell relaxed with PBE; Cu Kα (λ = 1.5418 Å)).
Kinematic intensities with the Lorentz-polarization factor, no thermal factor.

Crystal structure
```
14
Lattice="-4.1295 4.5760 4.5646 4.1295 -4.5760 4.5646 4.1295 4.5760 -4.5646" Properties=species:S:1:pos:R:3 pbc="T T T"
Li 0.0000 0.0000 0.0000
Li 0.0000 4.5760 0.0000
U -2.0647 2.2880 2.2823
U 2.0647 2.2880 2.2823
Pb 4.1295 2.2880 -1.6964
Pb 0.0000 2.2880 6.2610
S 1.6855 2.2880 -0.2491
S 2.4439 -2.2880 4.3155
S 4.1295 0.6061 2.0849
S 0.0000 0.6061 2.4798
S 4.1295 3.9699 2.0849
S 0.0000 3.9699 2.4798
S 1.6855 6.8641 0.2491
S 2.4439 2.2880 4.8138
```

Peak list (12 most intense, 10 to 90 degrees two-theta, low angle first)
| 2θ (°) | d [Å] | I/Imax |
| --- | --- | --- |
| 19.42 | 4.572 | 100 |
| 24.30 | 3.662 | 15 |
| 25.60 | 3.480 | 89 |
| 27.60 | 3.232 | 18 |
| 31.33 | 2.855 | 11 |
| 37.10 | 2.423 | 14 |
| 37.99 | 2.369 | 70 |
| 39.41 | 2.286 | 21 |
| 44.32 | 2.044 | 13 |
| 47.61 | 1.910 | 17 |
| 48.37 | 1.882 | 19 |
| 51.19 | 1.784 | 12 |



Structure and computed powder XRD pattern of Li8SbPb2 (a cell relaxed with PBE; Cu Kα (λ = 1.5418 Å)).
Kinematic intensities with the Lorentz-polarization factor, no thermal factor.

Crystal structure
```
11
Lattice="7.5995 -2.2699 0.0000 7.5995 2.2699 0.0000 -1.5373 0.0000 6.2142" Properties=species:S:1:pos:R:3 pbc="T T T"
Li 0.0242 0.0000 1.5214
Li 1.2242 0.0000 4.2156
Li 4.1067 0.0000 3.5826
Li 5.8698 0.0000 0.4868
Li 7.7919 0.0000 5.7274
Li 9.5550 0.0000 2.6316
Li 12.4375 0.0000 1.9986
Li 13.6375 0.0000 4.6928
Sb 6.8308 0.0000 3.1071
Pb 2.9300 0.0000 0.9352
Pb 10.7317 0.0000 5.2791
```

Peak list (12 most intense, 10 to 90 degrees two-theta, low angle first)
| 2θ (°) | d [Å] | I/Imax |
| --- | --- | --- |
| 12.00 | 7.377 | 41 |
| 20.78 | 4.274 | 57 |
| 24.17 | 3.683 | 100 |
| 24.94 | 3.570 | 13 |
| 26.72 | 3.336 | 43 |
| 28.23 | 3.162 | 18 |
| 28.36 | 3.147 | 20 |
| 36.29 | 2.476 | 37 |
| 36.75 | 2.446 | 39 |
| 39.71 | 2.270 | 16 |
| 45.23 | 2.005 | 15 |
| 47.56 | 1.912 | 15 |



Structure and computed powder XRD pattern of Li3Sb3Pb (a cell relaxed with PBE; Cu Kα (λ = 1.5418 Å)).
Kinematic intensities with the Lorentz-polarization factor, no thermal factor.

Crystal structure
```
14
Lattice="7.3252 0.0000 0.0000 0.0000 7.3252 0.0000 0.0000 0.0000 7.3252" Properties=species:S:1:pos:R:3 pbc="T T T"
Li 0.0000 1.8313 3.6626
Li 0.0000 5.4939 3.6626
Li 1.8313 3.6626 0.0000
Li 3.6626 0.0000 1.8313
Li 3.6626 0.0000 5.4939
Li 5.4939 3.6626 0.0000
Sb 0.0000 3.6626 1.8313
Sb 0.0000 3.6626 5.4939
Sb 1.8313 0.0000 3.6626
Sb 3.6626 1.8313 0.0000
Sb 3.6626 5.4939 0.0000
Sb 5.4939 0.0000 3.6626
Pb 0.0000 0.0000 0.0000
Pb 3.6626 3.6626 3.6626
```

Peak list (12 most intense, 10 to 90 degrees two-theta, low angle first)
| 2θ (°) | d [Å] | I/Imax |
| --- | --- | --- |
| 24.30 | 3.663 | 42 |
| 27.22 | 3.276 | 63 |
| 29.88 | 2.990 | 100 |
| 44.60 | 2.032 | 16 |
| 46.38 | 1.958 | 60 |
| 49.79 | 1.831 | 19 |
| 56.15 | 1.638 | 17 |
| 57.67 | 1.598 | 15 |
| 59.16 | 1.562 | 15 |
| 69.05 | 1.360 | 13 |
| 70.40 | 1.337 | 18 |
| 80.90 | 1.188 | 18 |



Structure and computed powder XRD pattern of LiSb2Pb2 (a cell relaxed with PBE; Cu Kα (λ = 1.5418 Å)).
Kinematic intensities with the Lorentz-polarization factor, no thermal factor.

Crystal structure
```
10
Lattice="4.6525 0.0000 0.0000 2.3006 6.1832 0.0000 2.2932 1.5872 10.0960" Properties=species:S:1:pos:R:3 pbc="T T T"
Li 1.1665 0.3209 1.0444
Li 8.0799 7.4496 9.0516
Sb 3.4787 5.4955 3.7159
Sb 5.7549 5.8268 9.2252
Sb 3.4914 1.9437 0.8708
Sb 5.7677 2.2750 6.3801
Pb 3.4524 3.5738 8.3121
Pb 3.4407 2.4175 4.2059
Pb 5.8057 5.3529 5.8901
Pb 5.7939 4.1966 1.7839
```

Peak list (12 most intense, 10 to 90 degrees two-theta, low angle first)
| 2θ (°) | d [Å] | I/Imax |
| --- | --- | --- |
| 14.50 | 6.108 | 29 |
| 24.99 | 3.563 | 16 |
| 29.27 | 3.051 | 100 |
| 29.40 | 3.038 | 64 |
| 30.00 | 2.978 | 68 |
| 30.69 | 2.914 | 17 |
| 31.05 | 2.880 | 18 |
| 31.80 | 2.814 | 20 |
| 32.30 | 2.771 | 28 |
| 38.71 | 2.326 | 39 |
| 38.92 | 2.314 | 27 |
| 42.77 | 2.114 | 17 |